1.
For TmScHg2, a DFT-relaxed cell (PBE, the Materials Project) gives the simulated X-ray diffraction stick pattern in this record (CuKα).
Kinematic intensities with the Lorentz-polarization factor, no thermal factor.

Peak list (6 most intense, 2θ from 10° to 80°, in order of rising 2θ)
d 4.162, 21.3 deg, I = 9.1; d 3.604, 24.7 deg, I = 11.1; d 2.549, 35.2 deg, I = 100.0; d 1.802, 50.7 deg, I = 17.9; d 1.471, 63.2 deg, I = 37.0; d 1.274, 74.5 deg, I = 11.6

Cell and atoms:
```
data_TmScHg2
_chemical_formula_sum 'Tm4 Sc4 Hg8'
_cell_length_a 7.209
_cell_length_b 7.209
_cell_length_c 7.209
_cell_angle_alpha 90.00
_cell_angle_beta 90.00
_cell_angle_gamma 90.00
_symmetry_space_group_name_H-M 'P 1'
_symmetry_Int_Tables_number 1
_symmetry_space_group_name_Hall 'P 1'
loop_
_atom_site_label
_atom_site_type_symbol
_atom_site_fract_x
_atom_site_fract_y
_atom_site_fract_z
_atom_site_occupancy
Tm1 Tm 0.000 0.000 0.000 1
Tm2 Tm 0.000 0.500 0.500 1
Tm3 Tm 0.500 0.000 0.500 1
Tm4 Tm 0.500 0.500 0.000 1
Sc1 Sc 0.000 0.000 0.500 1
Sc2 Sc 0.000 0.500 0.000 1
Sc3 Sc 0.500 0.000 0.000 1
Sc4 Sc 0.500 0.500 0.500 1
Hg1 Hg 0.250 0.250 0.250 1
Hg2 Hg 0.250 0.250 0.750 1
Hg3 Hg 0.250 0.750 0.250 1
Hg4 Hg 0.250 0.750 0.750 1
Hg5 Hg 0.750 0.250 0.250 1
Hg6 Hg 0.750 0.250 0.750 1
Hg7 Hg 0.750 0.750 0.250 1
Hg8 Hg 0.750 0.750 0.750 1
```

---

2.
For Dy2SO2, a DFT-relaxed cell (PBE, the Materials Project) gives the simulated X-ray diffraction stick pattern in this record (CuKα).
Kinematic intensities with the Lorentz-polarization factor, no thermal factor.

Peak list (6 most intense, 2θ from 10° to 80°, in order of rising 2θ)
d 3.344, 26.7 deg, I = 42.6; d 3.195, 27.9 deg, I = 89.0; d 2.648, 33.9 deg, I = 100.0; d 2.345, 38.4 deg, I = 46.9; d 1.900, 47.9 deg, I = 56.7; d 1.652, 55.6 deg, I = 75.1

Cell and atoms:
```
data_Dy2SO2
_chemical_formula_sum 'Dy4 S2 O4'
_cell_length_a 3.799
_cell_length_b 3.799
_cell_length_c 13.378
_cell_angle_alpha 90.00
_cell_angle_beta 90.00
_cell_angle_gamma 120.00
_symmetry_space_group_name_H-M 'P 1'
_symmetry_Int_Tables_number 1
_symmetry_space_group_name_Hall 'P 1'
loop_
_atom_site_label
_atom_site_type_symbol
_atom_site_fract_x
_atom_site_fract_y
_atom_site_fract_z
_atom_site_occupancy
Dy1 Dy 0.333 0.667 0.108 1
Dy2 Dy 0.333 0.667 0.392 1
Dy3 Dy 0.667 0.333 0.608 1
Dy4 Dy 0.667 0.333 0.892 1
S1 S 0.000 0.000 0.250 1
S2 S 0.000 0.000 0.750 1
O1 O 0.333 0.667 0.565 1
O2 O 0.333 0.667 0.935 1
O3 O 0.667 0.333 0.065 1
O4 O 0.667 0.333 0.435 1
```

---

3.
For MoWSeS3, a DFT-relaxed cell (PBE, the Materials Project) gives the simulated X-ray diffraction stick pattern in this record (CuKα).
Kinematic intensities with the Lorentz-polarization factor, no thermal factor.

Peak list (6 most intense, 2θ from 10° to 80°, in order of rising 2θ)
d 7.283, 12.2 deg, I = 100.0; d 6.070, 14.6 deg, I = 26.8; d 2.795, 32.0 deg, I = 19.8; d 2.382, 37.8 deg, I = 52.7; d 1.979, 45.9 deg, I = 32.1; d 1.613, 57.1 deg, I = 20.1

Cell and atoms:
```
data_MoWSeS3
_chemical_formula_sum 'Mo2 W2 Se2 S6'
_cell_length_a 3.227
_cell_length_b 3.227
_cell_length_c 36.417
_cell_angle_alpha 90.00
_cell_angle_beta 90.00
_cell_angle_gamma 120.00
_symmetry_space_group_name_H-M 'P 1'
_symmetry_Int_Tables_number 1
_symmetry_space_group_name_Hall 'P 1'
loop_
_atom_site_label
_atom_site_type_symbol
_atom_site_fract_x
_atom_site_fract_y
_atom_site_fract_z
_atom_site_occupancy
Mo1 Mo 0.000 0.000 0.000 1
Mo2 Mo 0.333 0.667 0.564 1
W1 W 0.000 0.000 0.376 1
W2 W 0.333 0.667 0.188 1
Se1 Se 0.333 0.667 0.329 1
Se2 Se 0.333 0.667 0.423 1
S1 S 0.000 0.000 0.145 1
S2 S 0.000 0.000 0.231 1
S3 S 0.000 0.000 0.521 1
S4 S 0.000 0.000 0.606 1
S5 S 0.333 0.667 0.043 1
S6 S 0.333 0.667 0.957 1
```

---

4.
For Ho2Sb5, a DFT-relaxed cell (PBE, the Materials Project) gives the simulated X-ray diffraction stick pattern in this record (CuKα).
Kinematic intensities with the Lorentz-polarization factor, no thermal factor.

Peak list (6 most intense, 2θ from 10° to 80°, in order of rising 2θ)
d 3.011, 29.7 deg, I = 64.4; d 2.978, 30.0 deg, I = 80.8; d 2.590, 34.6 deg, I = 58.7; d 2.561, 35.0 deg, I = 97.1; d 2.492, 36.0 deg, I = 100.0; d 2.113, 42.8 deg, I = 66.0

Cell and atoms:
```
data_Ho2Sb5
_chemical_formula_sum 'Ho8 Sb20'
_cell_length_a 13.169
_cell_length_b 4.226
_cell_length_c 14.642
_cell_angle_alpha 90.00
_cell_angle_beta 102.06
_cell_angle_gamma 90.00
_symmetry_space_group_name_H-M 'P 1'
_symmetry_Int_Tables_number 1
_symmetry_space_group_name_Hall 'P 1'
loop_
_atom_site_label
_atom_site_type_symbol
_atom_site_fract_x
_atom_site_fract_y
_atom_site_fract_z
_atom_site_occupancy
Ho1 Ho 0.047 0.250 0.362 1
Ho2 Ho 0.331 0.250 0.578 1
Ho3 Ho 0.338 0.250 0.855 1
Ho4 Ho 0.393 0.750 0.230 1
Ho5 Ho 0.607 0.250 0.770 1
Ho6 Ho 0.662 0.750 0.145 1
Ho7 Ho 0.669 0.750 0.422 1
Ho8 Ho 0.953 0.750 0.638 1
Sb1 Sb 0.030 0.250 0.092 1
Sb2 Sb 0.138 0.250 0.678 1
Sb3 Sb 0.142 0.750 0.221 1
Sb4 Sb 0.143 0.750 0.518 1
Sb5 Sb 0.152 0.750 0.828 1
Sb6 Sb 0.279 0.250 0.062 1
Sb7 Sb 0.284 0.250 0.347 1
Sb8 Sb 0.420 0.750 0.025 1
Sb9 Sb 0.425 0.750 0.734 1
Sb10 Sb 0.426 0.750 0.449 1
Sb11 Sb 0.574 0.250 0.551 1
Sb12 Sb 0.575 0.250 0.266 1
Sb13 Sb 0.580 0.250 0.975 1
Sb14 Sb 0.716 0.750 0.653 1
Sb15 Sb 0.721 0.750 0.938 1
Sb16 Sb 0.848 0.250 0.172 1
Sb17 Sb 0.857 0.250 0.482 1
Sb18 Sb 0.858 0.250 0.779 1
Sb19 Sb 0.862 0.750 0.322 1
Sb20 Sb 0.970 0.750 0.908 1
```

---

5.
For PaAlAu2, a DFT-relaxed cell (PBE, the Materials Project) gives the simulated X-ray diffraction stick pattern in this record (CuKα).
Kinematic intensities with the Lorentz-polarization factor, no thermal factor.

Peak list (6 most intense, 2θ from 10° to 80°, in order of rising 2θ)
d 3.996, 22.2 deg, I = 21.6; d 2.447, 36.7 deg, I = 100.0; d 2.087, 43.4 deg, I = 12.0; d 1.730, 52.9 deg, I = 17.8; d 1.413, 66.1 deg, I = 36.9; d 1.223, 78.1 deg, I = 11.7

Cell and atoms:
```
data_PaAlAu2
_chemical_formula_sum 'Pa4 Al4 Au8'
_cell_length_a 6.921
_cell_length_b 6.921
_cell_length_c 6.921
_cell_angle_alpha 90.00
_cell_angle_beta 90.00
_cell_angle_gamma 90.00
_symmetry_space_group_name_H-M 'P 1'
_symmetry_Int_Tables_number 1
_symmetry_space_group_name_Hall 'P 1'
loop_
_atom_site_label
_atom_site_type_symbol
_atom_site_fract_x
_atom_site_fract_y
_atom_site_fract_z
_atom_site_occupancy
Pa1 Pa 0.000 0.000 0.000 1
Pa2 Pa 0.000 0.500 0.500 1
Pa3 Pa 0.500 0.000 0.500 1
Pa4 Pa 0.500 0.500 0.000 1
Al1 Al 0.000 0.000 0.500 1
Al2 Al 0.000 0.500 0.000 1
Al3 Al 0.500 0.000 0.000 1
Al4 Al 0.500 0.500 0.500 1
Au1 Au 0.250 0.250 0.250 1
Au2 Au 0.250 0.250 0.750 1
Au3 Au 0.250 0.750 0.250 1
Au4 Au 0.250 0.750 0.750 1
Au5 Au 0.750 0.250 0.250 1
Au6 Au 0.750 0.250 0.750 1
Au7 Au 0.750 0.750 0.250 1
Au8 Au 0.750 0.750 0.750 1
```

---

6.
For CsTe2O6, a DFT-relaxed cell (PBE, the Materials Project) gives the simulated X-ray diffraction stick pattern in this record (CuKα).
Kinematic intensities with the Lorentz-polarization factor, no thermal factor.

Peak list (6 most intense, 2θ from 10° to 80°, in order of rising 2θ)
d 3.730, 23.9 deg, I = 19.3; d 3.181, 28.1 deg, I = 100.0; d 3.045, 29.3 deg, I = 37.6; d 2.030, 44.6 deg, I = 32.7; d 1.865, 48.8 deg, I = 38.1; d 1.373, 68.3 deg, I = 24.0

Cell and atoms:
```
data_CsTe2O6
_chemical_formula_sum 'Cs2 Te4 O12'
_cell_length_a 7.460
_cell_length_b 7.460
_cell_length_c 7.460
_cell_angle_alpha 60.00
_cell_angle_beta 60.00
_cell_angle_gamma 60.00
_symmetry_space_group_name_H-M 'P 1'
_symmetry_Int_Tables_number 1
_symmetry_space_group_name_Hall 'P 1'
loop_
_atom_site_label
_atom_site_type_symbol
_atom_site_fract_x
_atom_site_fract_y
_atom_site_fract_z
_atom_site_occupancy
Cs1 Cs 0.125 0.125 0.125 1
Cs2 Cs 0.875 0.875 0.875 1
Te1 Te 0.000 0.500 0.500 1
Te2 Te 0.500 0.000 0.500 1
Te3 Te 0.500 0.500 0.000 1
Te4 Te 0.500 0.500 0.500 1
O1 O 0.182 0.182 0.568 1
O2 O 0.182 0.568 0.182 1
O3 O 0.182 0.568 0.568 1
O4 O 0.432 0.432 0.818 1
O5 O 0.432 0.818 0.432 1
O6 O 0.432 0.818 0.818 1
O7 O 0.568 0.182 0.182 1
O8 O 0.568 0.182 0.568 1
O9 O 0.568 0.568 0.182 1
O10 O 0.818 0.432 0.432 1
O11 O 0.818 0.432 0.818 1
O12 O 0.818 0.818 0.432 1
```

---

7.
For NaTiS2, a DFT-relaxed cell (PBE, the Materials Project) gives the simulated X-ray diffraction stick pattern in this record (CuKα).
Kinematic intensities with the Lorentz-polarization factor, no thermal factor.

Peak list (6 most intense, 2θ from 10° to 80°, in order of rising 2θ)
d 6.689, 13.2 deg, I = 33.6; d 2.635, 34.0 deg, I = 100.0; d 1.949, 46.6 deg, I = 32.3; d 1.788, 51.1 deg, I = 29.4; d 1.480, 62.8 deg, I = 14.2; d 1.221, 78.3 deg, I = 9.3

Cell and atoms:
```
data_NaTiS2
_chemical_formula_sum 'Na3 Ti3 S6'
_cell_length_a 3.576
_cell_length_b 3.576
_cell_length_c 20.068
_cell_angle_alpha 90.00
_cell_angle_beta 90.00
_cell_angle_gamma 120.00
_symmetry_space_group_name_H-M 'P 1'
_symmetry_Int_Tables_number 1
_symmetry_space_group_name_Hall 'P 1'
loop_
_atom_site_label
_atom_site_type_symbol
_atom_site_fract_x
_atom_site_fract_y
_atom_site_fract_z
_atom_site_occupancy
Na1 Na 0.000 0.000 0.000 1
Na2 Na 0.333 0.667 0.667 1
Na3 Na 0.667 0.333 0.333 1
Ti1 Ti 0.000 0.000 0.500 1
Ti2 Ti 0.333 0.667 0.167 1
Ti3 Ti 0.667 0.333 0.833 1
S1 S 0.000 0.000 0.237 1
S2 S 0.000 0.000 0.763 1
S3 S 0.333 0.667 0.430 1
S4 S 0.333 0.667 0.904 1
S5 S 0.667 0.333 0.096 1
S6 S 0.667 0.333 0.570 1
```

---

8.
For Ho2Al3Si2, a DFT-relaxed cell (PBE, the Materials Project) gives the simulated X-ray diffraction stick pattern in this record (CuKα).
Kinematic intensities with the Lorentz-polarization factor, no thermal factor.

Peak list (6 most intense, 2θ from 10° to 80°, in order of rising 2θ)
d 3.731, 23.9 deg, I = 48.5; d 3.639, 24.5 deg, I = 43.8; d 3.140, 28.4 deg, I = 74.8; d 2.540, 35.3 deg, I = 100.0; d 2.513, 35.7 deg, I = 71.7; d 2.495, 36.0 deg, I = 44.5

Cell and atoms:
```
data_Ho2Al3Si2
_chemical_formula_sum 'Ho4 Al6 Si4'
_cell_length_a 10.168
_cell_length_b 4.022
_cell_length_c 6.613
_cell_angle_alpha 90.00
_cell_angle_beta 100.92
_cell_angle_gamma 90.00
_symmetry_space_group_name_H-M 'P 1'
_symmetry_Int_Tables_number 1
_symmetry_space_group_name_Hall 'P 1'
loop_
_atom_site_label
_atom_site_type_symbol
_atom_site_fract_x
_atom_site_fract_y
_atom_site_fract_z
_atom_site_occupancy
Ho1 Ho 0.120 0.000 0.323 1
Ho2 Ho 0.380 0.500 0.677 1
Ho3 Ho 0.620 0.500 0.323 1
Ho4 Ho 0.880 0.000 0.677 1
Al1 Al 0.000 0.500 0.000 1
Al2 Al 0.195 0.000 0.866 1
Al3 Al 0.305 0.500 0.134 1
Al4 Al 0.500 0.000 0.000 1
Al5 Al 0.695 0.500 0.866 1
Al6 Al 0.805 0.000 0.134 1
Si1 Si 0.093 0.500 0.640 1
Si2 Si 0.407 0.000 0.360 1
Si3 Si 0.593 0.000 0.640 1
Si4 Si 0.907 0.500 0.360 1
```

---

9.
For HfGa, a DFT-relaxed cell (PBE, the Materials Project) gives the simulated X-ray diffraction stick pattern in this record (CuKα).
Kinematic intensities with the Lorentz-polarization factor, no thermal factor.

Peak list (6 most intense, 2θ from 10° to 80°, in order of rising 2θ)
d 3.300, 27.0 deg, I = 28.9; d 2.575, 34.8 deg, I = 47.6; d 2.456, 36.6 deg, I = 66.4; d 2.424, 37.1 deg, I = 71.3; d 2.365, 38.0 deg, I = 60.1; d 2.326, 38.7 deg, I = 100.0

Cell and atoms:
```
data_HfGa
_chemical_formula_sum 'Hf12 Ga12'
_cell_length_a 9.211
_cell_length_b 8.553
_cell_length_c 5.678
_cell_angle_alpha 90.00
_cell_angle_beta 90.00
_cell_angle_gamma 90.00
_symmetry_space_group_name_H-M 'P 1'
_symmetry_Int_Tables_number 1
_symmetry_space_group_name_Hall 'P 1'
loop_
_atom_site_label
_atom_site_type_symbol
_atom_site_fract_x
_atom_site_fract_y
_atom_site_fract_z
_atom_site_occupancy
Hf1 Hf 0.111 0.250 0.000 1
Hf2 Hf 0.111 0.250 0.500 1
Hf3 Hf 0.192 0.637 0.250 1
Hf4 Hf 0.192 0.863 0.750 1
Hf5 Hf 0.383 0.027 0.250 1
Hf6 Hf 0.383 0.473 0.750 1
Hf7 Hf 0.617 0.527 0.250 1
Hf8 Hf 0.617 0.973 0.750 1
Hf9 Hf 0.808 0.137 0.250 1
Hf10 Hf 0.808 0.363 0.750 1
Hf11 Hf 0.889 0.750 0.000 1
Hf12 Hf 0.889 0.750 0.500 1
Ga1 Ga 0.086 0.548 0.750 1
Ga2 Ga 0.086 0.952 0.250 1
Ga3 Ga 0.349 0.132 0.750 1
Ga4 Ga 0.349 0.368 0.250 1
Ga5 Ga 0.435 0.750 0.000 1
Ga6 Ga 0.435 0.750 0.500 1
Ga7 Ga 0.565 0.250 0.000 1
Ga8 Ga 0.565 0.250 0.500 1
Ga9 Ga 0.651 0.632 0.750 1
Ga10 Ga 0.651 0.868 0.250 1
Ga11 Ga 0.914 0.048 0.750 1
Ga12 Ga 0.914 0.452 0.250 1
```

---

10.
For Cs2LiNF6, a DFT-relaxed cell (PBE, the Materials Project) gives the simulated X-ray diffraction stick pattern in this record (CuKα).
Kinematic intensities with the Lorentz-polarization factor, no thermal factor.

Peak list (6 most intense, 2θ from 10° to 80°, in order of rising 2θ)
d 4.273, 20.8 deg, I = 75.8; d 3.021, 29.6 deg, I = 100.0; d 2.467, 36.4 deg, I = 78.5; d 2.136, 42.3 deg, I = 45.2; d 1.911, 47.6 deg, I = 40.0; d 1.744, 52.5 deg, I = 36.9

Cell and atoms:
```
data_Cs2LiNF6
_chemical_formula_sum 'Cs2 Li1 N1 F6'
_cell_length_a 6.043
_cell_length_b 6.043
_cell_length_c 6.043
_cell_angle_alpha 60.00
_cell_angle_beta 60.00
_cell_angle_gamma 60.00
_symmetry_space_group_name_H-M 'P 1'
_symmetry_Int_Tables_number 1
_symmetry_space_group_name_Hall 'P 1'
loop_
_atom_site_label
_atom_site_type_symbol
_atom_site_fract_x
_atom_site_fract_y
_atom_site_fract_z
_atom_site_occupancy
Cs1 Cs 0.250 0.250 0.250 1
Cs2 Cs 0.750 0.750 0.750 1
Li1 Li 0.000 0.000 0.000 1
N1 N 0.500 0.500 0.500 1
F1 F 0.280 0.280 0.720 1
F2 F 0.280 0.720 0.280 1
F3 F 0.280 0.720 0.720 1
F4 F 0.720 0.280 0.280 1
F5 F 0.720 0.280 0.720 1
F6 F 0.720 0.720 0.280 1
```